# Ce3Ga2
Theoretical powder diffractogram, Cu Kα (weighted mean of Kα1 and Kα2). Input: a GGA-PBE-relaxed structure.

Cell and atoms:
Lattice parameters (Å, degrees): 12.4983 4.3543 8.9018 90.00 90.00 90.00
Space group Pnma (No. 62)
Unique sites:
Ce (0.0839, 0.2500, 0.1048) (multiplicity 4)
Ce (0.1245, 0.7500, 0.5096) (multiplicity 4)
Ce (0.1986, 0.7500, 0.2156) (multiplicity 4)
Ga (0.0543, 0.2500, 0.7417) (multiplicity 4)
Ga (0.1761, 0.7500, 0.8747) (multiplicity 4)

Principal peaks in the range 10 to 90 degrees two-theta, in order of rising 2θ:
Position (°2θ), I/Imax, h k l
29.6, 33.0, 1 1 2
31.0, 31.0, 1 0 3
31.4, 95.5, 3 1 1
35.4, 100.0, 4 1 0
36.6, 87.9, 0 1 3
37.2, 27.9, 3 0 3
37.4, 46.8, 1 1 3
41.5, 70.7, 0 2 0
42.0, 45.2, 4 0 3
60.5, 30.2, 4 2 3